The following is a simulated powder XRD pattern of Nd2Mg. It was derived from a crystal structure in the Materials Project, relaxed with GGA-PBE, using Cu Ka.
Lines closer than 0.1° are merged.

The 10 most intense peaks (2θ from 10° to 90°), in order of rising 2θ:
hkl 0 2 0, 2θ 10.07, d 8.781, rel. 13; hkl 1 1 0, 2θ 23.78, d 3.742, rel. 17; hkl 0 4 1, 2θ 25.71, d 3.466, rel. 27; hkl 0 6 0, 2θ 30.54, d 2.927, rel. 21; hkl 0 0 2, 2θ 31.70, d 2.823, rel. 28; hkl 1 3 1, 2θ 32.12, d 2.787, rel. 100; hkl 0 6 2, 2θ 44.60, d 2.032, rel. 15; hkl 0 10 1, 2θ 54.76, d 1.676, rel. 13; hkl 1 3 3, 2θ 56.73, d 1.623, rel. 20; hkl 2 0 2, 2θ 58.23, d 1.584, rel. 12

```
data_Nd2Mg
_cell_length_a 3.8299
_cell_length_b 17.5614
_cell_length_c 5.6452
_cell_angle_alpha 90.00
_cell_angle_beta 90.00
_cell_angle_gamma 90.00
_symmetry_space_group_name_H-M 'C m c m'
_symmetry_Int_Tables_number 63
_symmetry_space_group_name_Hall '-C 2c 2'
loop_
_atom_site_label
_atom_site_type_symbol
_atom_site_fract_x
_atom_site_fract_y
_atom_site_fract_z
Nd1 Nd 0.0000 0.0878 0.2500
Nd2 Nd 0.0000 0.2277 0.7500
Mg1 Mg 0.0000 0.4317 0.2500
```